For Ac2ZnPdAu6, a crystal structure in Alexandria, relaxed with PBE gives the computed X-ray diffraction stick pattern in this record (a wavelength of 1.5418 Å).
Kinematic intensities with the Lorentz-polarization factor, no thermal factor.

Principal peaks in the range 5° ≤ 2θ ≤ 70°, by intensity:
(0 2 2), 37.91 deg, I 100
(2 2 0), 38.27 deg, I 42
(1 -2 1), 39.94 deg, I 25
(0 0 2), 26.03 deg, I 24
(1 1 -1), 26.55 deg, I 24
(0 2 0), 28.16 deg, I 22
(1 0 3), 37.62 deg, I 21
(1 2 0), 27.62 deg, I 17
(1 1 3), 37.13 deg, I 17
(0 2 -2), 39.47 deg, I 16
(2 4 2), 56.18 deg, I 15
(2 1 3), 42.21 deg, I 13

Cell and atoms:
Lattice parameters (Å, degrees): 5.4875 6.9102 7.3785 79.66 68.21 66.62
Space group P-1 (No. 2)
Symmetry-distinct sites (fractional):
Ac  0.2246  0.2405  0.3064 [2 per cell]
Zn  0.0000  0.0000  0.0000 [1 per cell]
Pd  0.5000  0.5000  0.5000 [1 per cell]
Au  0.2349  0.7780  0.2541 [2 per cell]
Au  0.2543  0.5892  0.9057 [2 per cell]
Au  0.2673  0.2213  0.7451 [2 per cell]

=====

For Na3Hg4Pb3, a crystal structure in Alexandria, relaxed with PBE gives the computed X-ray diffraction stick pattern in this record (a wavelength of 1.5418 Å).
Kinematic intensities with the Lorentz-polarization factor, no thermal factor.

Principal peaks in the range 5° ≤ 2θ ≤ 70°, by intensity:
(1 1 3), 33.28 deg, I 100
(1 3 1), 33.78 deg, I 95
(1 0 0), 24.07 deg, I 79
(0 4 2), 33.12 deg, I 77
(0 2 4), 32.36 deg, I 76
(1 2 2), 31.84 deg, I 61
(1 2 4), 40.73 deg, I 54
(0 3 1), 23.34 deg, I 42
(1 4 2), 41.36 deg, I 36
(1 4 6), 59.61 deg, I 32
(0 1 5), 36.82 deg, I 32
(2 0 0), 49.28 deg, I 30

Cell and atoms:
Lattice parameters (Å, degrees): 3.6980 12.0065 12.4672 90.00 90.00 90.00
Space group Amm2 (No. 38)
Symmetry-distinct sites (fractional):
Na  0.0000  0.0000  0.0000 [2 per cell]
Na  0.0000  0.1686  0.6768 [4 per cell]
Hg  0.5000  0.0000  0.5583 [2 per cell]
Hg  0.5000  0.0000  0.8033 [2 per cell]
Hg  0.5000  0.1309  0.1654 [4 per cell]
Pb  0.0000  0.0000  0.3504 [2 per cell]
Pb  0.5000  0.2450  0.4175 [4 per cell]

=====

For Ho7Sb3C2, a crystal structure in Alexandria, relaxed with PBE gives the computed X-ray diffraction stick pattern in this record (a wavelength of 1.5418 Å).
Kinematic intensities with the Lorentz-polarization factor, no thermal factor.

Principal peaks in the range 5° ≤ 2θ ≤ 70°, by intensity:
(1 5 1), 32.01 deg, I 100
(2 0 0), 37.11 deg, I 18
(0 0 2), 37.74 deg, I 18
(0 10 0), 36.53 deg, I 17
(3 5 1), 63.70 deg, I 14
(1 5 3), 64.55 deg, I 13
(2 0 2), 53.96 deg, I 12
(2 10 0), 53.06 deg, I 12
(1 15 1), 62.93 deg, I 12
(2 10 2), 66.93 deg, I 12
(0 10 2), 53.53 deg, I 11
(0 2 0), 7.19 deg, I 3

Cell and atoms:
Lattice parameters (Å, degrees): 4.8457 24.5959 4.7679 90.00 90.00 90.00
Space group Cmmm (No. 65)
Symmetry-distinct sites (fractional):
Ho  0.0000  0.0000  0.0000 [2 per cell]
Ho  0.0000  0.0969  0.5000 [4 per cell]
Ho  0.0000  0.1972  0.0000 [4 per cell]
Ho  0.0000  0.4029  0.0000 [4 per cell]
Sb  0.0000  0.3118  0.5000 [4 per cell]
Sb  0.0000  0.5000  0.5000 [2 per cell]
C  0.0000  0.1007  0.0000 [4 per cell]

=====

For Nd8ZnGa3I4, a crystal structure in Alexandria, relaxed with PBE gives the computed X-ray diffraction stick pattern in this record (a wavelength of 1.5418 Å).
Kinematic intensities with the Lorentz-polarization factor, no thermal factor.

Principal peaks in the range 5° ≤ 2θ ≤ 70°, by intensity:
(4 0 0), 28.37 deg, I 100
(0 4 0), 41.62 deg, I 37
(2 2 2), 39.47 deg, I 35
(4 4 0), 51.16 deg, I 13
(0 4 4), 64.93 deg, I 12
(10 2 -2), 67.95 deg, I 11
(8 0 0), 58.70 deg, I 11
(2 2 1), 30.72 deg, I 9
(6 2 1), 55.57 deg, I 7
(8 0 -4), 51.08 deg, I 6
(2 6 -2), 68.02 deg, I 5
(0 0 4), 47.46 deg, I 5

Cell and atoms:
Lattice parameters (Å, degrees): 15.0466 8.6736 9.1623 90.00 123.24 90.00
Space group C2/m (No. 12)
Symmetry-distinct sites (fractional):
Nd  0.0121  0.2484  0.2847 [8 per cell]
Nd  0.2372  0.0000  0.7117 [4 per cell]
Nd  0.2394  0.5000  0.7153 [4 per cell]
Zn  0.0000  0.5000  0.5000 [2 per cell]
Ga  0.0000  0.0000  0.5000 [2 per cell]
Ga  0.2500  0.2500  0.5000 [4 per cell]
I  0.0000  0.0000  0.0000 [2 per cell]
I  0.0000  0.5000  0.0000 [2 per cell]
I  0.2500  0.2500  0.0000 [4 per cell]

=====

For Sr2DyPaS6, a crystal structure in Alexandria, relaxed with PBE gives the computed X-ray diffraction stick pattern in this record (a wavelength of 1.5418 Å).
Kinematic intensities with the Lorentz-polarization factor, no thermal factor.

Principal peaks in the range 5° ≤ 2θ ≤ 70°, by intensity:
(1 1 1), 24.68 deg, I 100
(1 1 -3), 24.81 deg, I 99
(1 1 -1), 17.42 deg, I 99
(2 2 -2), 35.23 deg, I 56
(2 0 -2), 25.52 deg, I 46
(0 2 0), 23.87 deg, I 45
(2 2 0), 39.51 deg, I 38
(0 0 4), 35.34 deg, I 35
(3 1 -1), 44.40 deg, I 33
(1 3 1), 42.52 deg, I 33
(3 1 -5), 44.64 deg, I 32
(0 2 4), 43.10 deg, I 29

Cell and atoms:
Lattice parameters (Å, degrees): 6.9807 7.4546 12.2860 90.00 124.21 90.00
Space group P2_1/c (No. 14)
Symmetry-distinct sites (fractional):
Sr  0.2209  0.0793  0.2481 [4 per cell]
Dy  0.0000  0.0000  0.5000 [2 per cell]
Pa  0.5000  0.0000  0.0000 [2 per cell]
S  0.1366  0.1919  0.9410 [4 per cell]
S  0.2511  0.7008  0.9376 [4 per cell]
S  0.3692  0.0375  0.7537 [4 per cell]

=====

For AcLa4SmDy2, a crystal structure in Alexandria, relaxed with PBE gives the computed X-ray diffraction stick pattern in this record (a wavelength of 1.5418 Å).
Kinematic intensities with the Lorentz-polarization factor, no thermal factor.

Principal peaks in the range 5° ≤ 2θ ≤ 70°, by intensity:
(1 1 2), 29.48 deg, I 100
(2 0 -4), 33.96 deg, I 17
(0 2 0), 34.09 deg, I 17
(4 0 0), 34.45 deg, I 17
(1 3 2), 58.20 deg, I 15
(5 1 -6), 58.03 deg, I 15
(7 1 -2), 58.68 deg, I 14
(2 2 -4), 48.88 deg, I 12
(4 2 0), 49.24 deg, I 12
(6 0 -4), 49.15 deg, I 12
(6 2 -4), 61.12 deg, I 6
(2 2 4), 61.21 deg, I 6

Cell and atoms:
Lattice parameters (Å, degrees): 11.6848 5.2607 10.5591 90.00 116.97 90.00
Space group C2/m (No. 12)
Symmetry-distinct sites (fractional):
Ac  0.0000  0.0000  0.0000 [2 per cell]
La  0.2470  0.0000  0.8704 [4 per cell]
La  0.2486  0.5000  0.6227 [4 per cell]
Sm  0.0000  0.0000  0.5000 [2 per cell]
Dy  0.0006  0.5000  0.7451 [4 per cell]

=====

For CaAcLaCo, a crystal structure in Alexandria, relaxed with PBE gives the computed X-ray diffraction stick pattern in this record (a wavelength of 1.5418 Å).
Kinematic intensities with the Lorentz-polarization factor, no thermal factor.

Principal peaks in the range 5° ≤ 2θ ≤ 70°, by intensity:
(0 0 1), 9.00 deg, I 100
(1 1 -2), 29.35 deg, I 69
(2 0 -2), 27.88 deg, I 44
(2 0 2), 35.09 deg, I 32
(0 2 0), 44.15 deg, I 28
(2 0 -1), 25.25 deg, I 25
(2 0 -5), 47.58 deg, I 21
(0 0 3), 27.23 deg, I 18
(3 1 -4), 52.65 deg, I 18
(2 0 -4), 39.74 deg, I 14
(3 1 0), 45.16 deg, I 13
(2 2 1), 53.94 deg, I 8

Cell and atoms:
Lattice parameters (Å, degrees): 7.1136 4.0977 10.1088 90.00 103.62 90.00
Space group Cm (No. 8)
Symmetry-distinct sites (fractional):
Ca  0.0000  0.0000  0.0000 [2 per cell]
Ac  0.2152  0.0000  0.6545 [2 per cell]
La  0.4462  0.0000  0.3431 [2 per cell]
Co  0.3272  0.5000  0.4888 [2 per cell]

=====

For CuTeO5, a crystal structure in Alexandria, relaxed with PBE gives the computed X-ray diffraction stick pattern in this record (a wavelength of 1.5418 Å).
Kinematic intensities with the Lorentz-polarization factor, no thermal factor.

Principal peaks in the range 5° ≤ 2θ ≤ 70°, by intensity:
(1 0 2), 25.83 deg, I 100
(1 1 1), 23.58 deg, I 81
(0 1 3), 29.79 deg, I 46
(0 2 1), 25.25 deg, I 42
(1 2 1), 31.35 deg, I 39
(1 1 2), 28.44 deg, I 24
(1 2 2), 35.22 deg, I 22
(1 1 5), 51.70 deg, I 21
(0 4 0), 48.21 deg, I 21
(2 1 1), 40.08 deg, I 17
(1 2 3), 40.96 deg, I 16
(0 3 2), 40.26 deg, I 16

Cell and atoms:
Lattice parameters (Å, degrees): 4.8546 7.5600 9.8057 90.00 90.00 90.00
Space group P2_12_12_1 (No. 19)
Symmetry-distinct sites (fractional):
Cu  0.1329  0.1118  0.0664 [4 per cell]
Te  0.2057  0.3164  0.6454 [4 per cell]
O  0.0026  0.8481  0.4707 [4 per cell]
O  0.0055  0.1715  0.7589 [4 per cell]
O  0.0073  0.1053  0.2529 [4 per cell]
O  0.1362  0.8572  0.0214 [4 per cell]
O  0.1916  0.4651  0.9917 [4 per cell]